The following is a theoretical PXRD pattern of SiBi. It was derived from a structure optimized by DFT (GGA-PBE), using copper Kα.
Neutral-atom scattering factors, no anomalous dispersion.

Most intense lines, 10 to 90 degrees two-theta, by angle:
2θ = 21.4°, intensity 100; 2θ = 29.4°, intensity 42; 2θ = 30.4°, intensity 77; 2θ = 36.7°, intensity 54; 2θ = 42.8°, intensity 61; 2θ = 43.6°, intensity 29; 2θ = 49.0°, intensity 24; 2θ = 53.5°, intensity 32; 2θ = 58.2°, intensity 30; 2θ = 79.5°, intensity 21

Structural model:
a b c (Å): 4.153 4.153 3.038
angles (deg): 90.00 90.00 90.00
Fractional positions:
Si1 0.000 0.000 0.000
Bi1 0.500 0.500 0.996